Starting from DFT lattice parameters and positions (PBE), the PXRD pattern of NaTb4NdS8 was computed for Cu Kα.

Peak list (10 most intense, 2θ = 10–90°, low angle first)
6.662 Å, intensity 34.0; 5.787 Å, intensity 17.1; 3.511 Å, intensity 31.9; 3.483 Å, intensity 100.0; 3.331 Å, intensity 20.5; 2.894 Å, intensity 51.5; 2.227 Å, intensity 25.0; 2.221 Å, intensity 20.2; 2.056 Å, intensity 42.7; 2.037 Å, intensity 42.0

Structural model:
```
data_NaTb4NdS8
_chemical_formula_sum 'Na3 Tb12 Nd3 S24'
_symmetry_space_group_name_H-M 'R 3 m'
_symmetry_Int_Tables_number 160
_symmetry_space_group_name_Hall 'R 3 -2"'
_cell_length_a 8.1463
_cell_length_b 8.1463
_cell_length_c 20.2366
_cell_angle_alpha 90.00
_cell_angle_beta 90.00
_cell_angle_gamma 120.00
loop_
_atom_site_label
_atom_site_type_symbol
_atom_site_fract_x
_atom_site_fract_y
_atom_site_fract_z
Na1 Na 0.0000 0.0000 0.0000
Tb1 Tb 0.0000 0.0000 0.2522
Tb2 Tb 0.1725 0.3449 0.4584
Nd1 Nd 0.0000 0.0000 0.6304
S1 S 0.0000 0.0000 0.3845
S2 S 0.0000 0.0000 0.8647
S3 S 0.0257 0.5129 0.3827
S4 S 0.1750 0.3500 0.2051
```